Entry 1:
For SmFe4P12, a cell relaxed with PBE gives the computed powder diffraction line list in this record (CuKα).
No peak broadening, texture or thermal motion is included.

Most intense lines, 2θ = 10–80°, low angle first:
16.08 deg, intensity 45; 28.04 deg, intensity 29; 32.49 deg, intensity 88; 36.45 deg, intensity 100; 43.43 deg, intensity 74; 46.60 deg, intensity 14; 52.50 deg, intensity 14; 57.95 deg, intensity 62; 60.56 deg, intensity 46; 77.43 deg, intensity 21

Lattice parameters (Å, degrees): 6.751 6.751 6.751 109.47 109.47 109.47
Element x y z (fractional)
Sm: 0.000 0.000 0.000
Fe: 0.000 0.000 0.500
Fe: 0.000 0.500 0.000
Fe: 0.500 0.000 0.000
Fe: 0.500 0.500 0.500
P: 0.151 0.353 0.504
P: 0.151 0.647 0.798
P: 0.202 0.849 0.353
P: 0.353 0.202 0.849
P: 0.353 0.504 0.151
P: 0.496 0.849 0.647
P: 0.504 0.151 0.353
P: 0.647 0.496 0.849
P: 0.647 0.798 0.151
P: 0.798 0.151 0.647
P: 0.849 0.353 0.202
P: 0.849 0.647 0.496

=====

Entry 2:
For Cs2U2O5, a cell relaxed with PBE gives the computed powder diffraction line list in this record (CuKα).
No peak broadening, texture or thermal motion is included.

Most intense lines, 2θ = 10–80°, low angle first:
20.29 deg, intensity 9; 27.36 deg, intensity 100; 28.85 deg, intensity 41; 36.80 deg, intensity 13; 41.25 deg, intensity 23; 47.41 deg, intensity 18; 50.21 deg, intensity 39; 56.45 deg, intensity 14; 66.93 deg, intensity 9; 67.71 deg, intensity 12

Lattice parameters (Å, degrees): 4.377 4.377 9.770 90.00 90.00 90.00
Element x y z (fractional)
Cs: 0.000 0.000 0.000
Cs: 0.000 0.000 0.500
U: 0.500 0.500 0.226
U: 0.500 0.500 0.774
O: 0.000 0.500 0.257
O: 0.000 0.500 0.743
O: 0.500 0.000 0.257
O: 0.500 0.000 0.743
O: 0.500 0.500 0.000